Structure and computed PXRD pattern of V2PbWO8 (a structure optimized by DFT (PBE+U); CuKα).
Kinematic intensities with the Lorentz-polarization factor, no thermal factor.

```
V2PbWO8
1.0
5.685 0.000 0.000
-2.842 4.923 0.000
0.000 0.000 6.880
V Pb W O
2 1 1 8
Cartesian
0.000 3.282 1.632
2.842 1.641 5.248
0.000 0.000 0.000
0.000 0.000 3.440
0.000 1.593 2.198
-1.463 4.127 2.198
1.379 0.796 4.682
0.000 3.282 6.841
2.842 1.641 0.039
1.463 4.127 2.198
4.305 0.796 4.682
2.842 3.330 4.682
```

Main lines, sorted by position (10 to 90 degrees two-theta):
| hkl | d [Å] | I/Imax |
| --- | --- | --- |
| 1 0 0 | 4.923 | 100.0 |
| 1 0 1 | 4.004 | 15.0 |
| 1 1 0 | 2.842 | 55.0 |
| 1 0 2 | 2.820 | 74.4 |
| 1 1 2 | 2.191 | 26.1 |
| 2 0 2 | 2.002 | 35.4 |
| 2 1 0 | 1.861 | 15.2 |
| 2 1 2 | 1.637 | 31.5 |
| 1 1 4 | 1.472 | 16.4 |
| 1 3 2 | 1.269 | 13.5 |